Computed powder X-ray diffraction pattern
Compound: K3TaF6
Radiation: Cu Kα (λ = 1.5418 Å)
Structure: a DFT-relaxed cell (GGA-PBE, the Materials Project)
Kinematic intensities with the Lorentz-polarization factor, no thermal factor.

```
data_K3TaF6
_symmetry_space_group_name_H-M 'F m -3 m'
_symmetry_Int_Tables_number 225
_symmetry_space_group_name_Hall '-F 4 2 3'
_cell_length_a 9.223
_cell_length_b 9.223
_cell_length_c 9.223
_cell_angle_alpha 90.00
_cell_angle_beta 90.00
_cell_angle_gamma 90.00
loop_
_atom_site_label
_atom_site_type_symbol
_atom_site_fract_x
_atom_site_fract_y
_atom_site_fract_z
K1 K 0.000 0.000 0.000
K2 K 0.250 0.250 0.250
Ta1 Ta 0.000 0.000 0.500
F1 F 0.000 0.000 0.275
```

Peak list (10 most intense, 2θ = 10–90°, low angle first)
- hkl 1 1 1, 2θ 16.65, intensity 73
- hkl 2 0 0, 2θ 19.25, intensity 53
- hkl 2 2 0, 2θ 27.35, intensity 100
- hkl 3 1 1, 2θ 32.19, intensity 32
- hkl 4 0 0, 2θ 39.06, intensity 45
- hkl 4 2 0, 2θ 43.90, intensity 23
- hkl 4 2 2, 2θ 48.34, intensity 39
- hkl 4 4 0, 2θ 56.43, intensity 27
- hkl 6 2 0, 2θ 63.83, intensity 19
- hkl 6 4 2, 2θ 77.43, intensity 21